Simulated X-ray powder pattern of LiMnAlO4 for Cu Kα, from a structure optimized by DFT (GGA+U).
Peak positions follow from Bragg's law for the DFT cell and can differ from measured ones.

Atomic structure:
```
data_LiMnAlO4
_symmetry_space_group_name_H-M 'P 1'
_symmetry_Int_Tables_number 1
_cell_length_a 5.7507
_cell_length_b 5.7507
_cell_length_c 8.0524
_cell_angle_alpha 90.00
_cell_angle_beta 90.00
_cell_angle_gamma 90.00
loop_
_symmetry_equiv_pos_as_xyz
'x,y,z'
loop_
_atom_site_label
_atom_site_type_symbol
_atom_site_fract_x
_atom_site_fract_y
_atom_site_fract_z
_atom_site_occupancy
Li1 Li 0.0000 0.2286 0.0000 1
Li2 Li 0.0000 0.7714 0.5000 1
Li3 Li 0.2286 0.0000 0.2500 1
Li4 Li 0.7714 0.0000 0.7500 1
Mn1 Mn 0.2344 0.5000 0.2500 1
Mn2 Mn 0.5000 0.2344 0.0000 1
Mn3 Mn 0.5000 0.7656 0.5000 1
Mn4 Mn 0.7656 0.5000 0.7500 1
Al1 Al 0.2557 0.2557 0.6250 1
Al2 Al 0.2557 0.7443 0.8750 1
Al3 Al 0.7443 0.2557 0.3750 1
Al4 Al 0.7443 0.7443 0.1250 1
O1 O 0.0077 0.2672 0.2599 1
O2 O 0.0077 0.7328 0.2401 1
O3 O 0.2637 0.4889 0.0103 1
O4 O 0.2637 0.5111 0.4897 1
O5 O 0.2672 0.0077 0.9901 1
O6 O 0.2672 0.9923 0.5099 1
O7 O 0.4889 0.2637 0.2397 1
O8 O 0.4889 0.7363 0.2603 1
O9 O 0.5111 0.2637 0.7603 1
O10 O 0.5111 0.7363 0.7397 1
O11 O 0.7328 0.0077 0.0099 1
O12 O 0.7328 0.9923 0.4901 1
O13 O 0.7363 0.4889 0.9897 1
O14 O 0.7363 0.5111 0.5103 1
O15 O 0.9923 0.2672 0.7401 1
O16 O 0.9923 0.7328 0.7599 1
```

Largest 6 diffraction maxima, most intense first, 10° ≤ 2θ ≤ 90°:
two_theta	Rel. int.	index
36.7	100	2 1 1
24.5	96	1 1 1
15.4	71	1 0 0
65.2	69	2 2 4
37.0	56	1 0 3
44.6	53	2 2 0